Entry 1:
# Tm5Te5Pb
Computed powder diffraction line list, Cu Kα (weighted mean of Kα1 and Kα2). Input: DFT lattice parameters and positions (PBE).
Peak positions follow from Bragg's law for the DFT cell and can differ from measured ones.

Principal peaks in the range 2θ = 10–90°, sorted by position:
2θ (°), d [Å], Rel. int., index
29.27, 3.052, 100, 0 2 0
41.85, 2.159, 63, 2 2 2
41.96, 2.153, 13, 2 0 -4
51.90, 1.762, 27, 2 2 -4
60.76, 1.524, 8, 4 0 4
68.68, 1.367, 12, 2 4 2
68.80, 1.365, 12, 4 2 4
68.87, 1.363, 9, 0 0 6
76.39, 1.247, 13, 2 4 -4
76.51, 1.245, 9, 0 2 6

Atomic structure:
```
data_Tm5Te5Pb
_chemical_formula_sum 'Tm10 Te10 Pb2'
_cell_length_a 13.642
_cell_length_b 6.115
_cell_length_c 8.613
_cell_angle_alpha 90.00
_cell_angle_beta 108.37
_cell_angle_gamma 90.00
_symmetry_space_group_name_H-M 'C 1 2/m 1'
_symmetry_Int_Tables_number 12
loop_
_symmetry_equiv_pos_as_xyz
'x,y,z'
'-x,-y,-z'
'-x,y,-z'
'x,-y,z'
'x+1/2,y+1/2,z'
'-x+1/2,-y+1/2,-z'
'-x+1/2,y+1/2,-z'
'x+1/2,-y+1/2,z'
loop_
_atom_site_label
_atom_site_type_symbol
_atom_site_fract_x
_atom_site_fract_y
_atom_site_fract_z
_atom_site_occupancy
Tm1 Tm 0.000 0.000 0.000 1
Tm2 Tm 0.163 0.500 0.332 1
Tm3 Tm 0.163 0.500 0.831 1
Te1 Te 0.000 0.500 0.500 1
Te2 Te 0.166 0.000 0.337 1
Te3 Te 0.166 0.000 0.830 1
Pb1 Pb 0.000 0.500 0.000 1
```

***

Entry 2:
# ZnTe3Pb
Computed powder diffraction line list, Cu Kα (weighted mean of Kα1 and Kα2). Input: DFT lattice parameters and positions (PBE).
Peak positions follow from Bragg's law for the DFT cell and can differ from measured ones.

Principal peaks in the range 2θ = 10–90°, sorted by position:
2θ (°), d [Å], Rel. int., index
23.04, 3.860, 100, 1 2 1
23.69, 3.755, 65, 2 1 0
24.12, 3.690, 88, 1 0 2
27.99, 3.188, 92, 0 3 1
30.11, 2.968, 45, 1 3 1
34.26, 2.618, 47, 1 0 3
38.04, 2.366, 41, 1 4 1
39.31, 2.292, 68, 3 2 1
40.98, 2.202, 67, 3 1 2
59.79, 1.547, 43, 3 4 3

Atomic structure:
```
data_ZnTe3Pb
_chemical_formula_sum 'Zn4 Te12 Pb4'
_cell_length_a 8.057
_cell_length_b 10.370
_cell_length_c 8.301
_cell_angle_alpha 90.00
_cell_angle_beta 90.00
_cell_angle_gamma 90.00
_symmetry_space_group_name_H-M 'P n m a'
_symmetry_Int_Tables_number 62
loop_
_symmetry_equiv_pos_as_xyz
'x,y,z'
'-x,-y,-z'
'-x+1/2,-y,z+1/2'
'x+1/2,y,-z+1/2'
'x+1/2,-y+1/2,-z+1/2'
'-x+1/2,y+1/2,z+1/2'
'-x,y+1/2,-z'
'x,-y+1/2,z'
loop_
_atom_site_label
_atom_site_type_symbol
_atom_site_fract_x
_atom_site_fract_y
_atom_site_fract_z
_atom_site_occupancy
Zn1 Zn 0.019 0.250 0.102 1
Te1 Te 0.150 0.112 0.855 1
Te2 Te 0.192 0.250 0.368 1
Pb1 Pb 0.000 0.000 0.500 1
```

***

Entry 3:
# ZnTe2Pb
Computed powder diffraction line list, Cu Kα (weighted mean of Kα1 and Kα2). Input: DFT lattice parameters and positions (PBE).
Peak positions follow from Bragg's law for the DFT cell and can differ from measured ones.

Principal peaks in the range 2θ = 10–90°, sorted by position:
2θ (°), d [Å], Rel. int., index
20.09, 4.421, 7, 1 1 1
23.23, 3.828, 8, 2 0 0
33.09, 2.707, 100, 2 2 0
39.02, 2.309, 4, 3 1 1
47.50, 1.914, 18, 4 0 0
53.52, 1.712, 4, 4 2 0
59.11, 1.563, 38, 4 2 2
69.44, 1.354, 12, 4 4 0
79.11, 1.211, 16, 6 2 0
88.46, 1.105, 4, 4 4 4

Atomic structure:
```
data_ZnTe2Pb
_chemical_formula_sum 'Zn4 Te8 Pb4'
_cell_length_a 7.657
_cell_length_b 7.657
_cell_length_c 7.657
_cell_angle_alpha 90.00
_cell_angle_beta 90.00
_cell_angle_gamma 90.00
_symmetry_space_group_name_H-M 'F -4 3 m'
_symmetry_Int_Tables_number 216
_symmetry_space_group_name_Hall 'F -4 2 3'
loop_
_atom_site_label
_atom_site_type_symbol
_atom_site_fract_x
_atom_site_fract_y
_atom_site_fract_z
_atom_site_occupancy
Zn1 Zn 0.000 0.000 0.000 1
Te1 Te 0.000 0.000 0.500 1
Te2 Te 0.250 0.250 0.750 1
Pb1 Pb 0.250 0.250 0.250 1
```

***

Entry 4:
# Th2Tl3Pb3
Computed powder diffraction line list, Cu Kα (weighted mean of Kα1 and Kα2). Input: DFT lattice parameters and positions (PBE).
Peak positions follow from Bragg's law for the DFT cell and can differ from measured ones.

Principal peaks in the range 2θ = 10–90°, sorted by position:
2θ (°), d [Å], Rel. int., index
31.76, 2.817, 100, 1 1 2
36.60, 2.455, 17, 0 2 0
36.90, 2.436, 17, 2 0 0
37.03, 2.428, 17, 0 0 4
52.99, 1.728, 24, 2 2 0
53.27, 1.720, 12, 2 0 4
62.87, 1.478, 15, 1 3 2
63.28, 1.470, 14, 3 1 2
63.45, 1.466, 14, 1 1 6
66.36, 1.409, 13, 2 2 4

Atomic structure:
```
data_Th2Tl3Pb3
_chemical_formula_sum 'Th2 Tl3 Pb3'
_cell_length_a 4.872
_cell_length_b 4.911
_cell_length_c 9.712
_cell_angle_alpha 90.00
_cell_angle_beta 90.00
_cell_angle_gamma 90.00
_symmetry_space_group_name_H-M 'P m m m'
_symmetry_Int_Tables_number 47
loop_
_symmetry_equiv_pos_as_xyz
'x,y,z'
'-x,-y,-z'
'-x,-y,z'
'x,y,-z'
'x,-y,-z'
'-x,y,z'
'-x,y,-z'
'x,-y,z'
loop_
_atom_site_label
_atom_site_type_symbol
_atom_site_fract_x
_atom_site_fract_y
_atom_site_fract_z
_atom_site_occupancy
Th1 Th 0.000 0.000 0.249 1
Tl1 Tl 0.000 0.500 0.500 1
Tl2 Tl 0.500 0.500 0.254 1
Pb1 Pb 0.000 0.500 0.000 1
Pb2 Pb 0.500 0.000 0.000 1
Pb3 Pb 0.500 0.000 0.500 1
```

***

Entry 5:
# Zr6TlPb
Computed powder diffraction line list, Cu Kα (weighted mean of Kα1 and Kα2). Input: DFT lattice parameters and positions (PBE).
Peak positions follow from Bragg's law for the DFT cell and can differ from measured ones.

Principal peaks in the range 2θ = 10–90°, sorted by position:
2θ (°), d [Å], Rel. int., index
22.20, 4.005, 27, 1 1 0
31.60, 2.832, 44, 2 0 0
35.44, 2.533, 51, 2 1 0
38.96, 2.312, 100, 2 1 1
58.79, 1.571, 11, 3 0 2
61.24, 1.514, 53, 3 2 1
65.98, 1.416, 14, 4 0 0
75.00, 1.266, 15, 4 2 0
77.19, 1.236, 10, 4 2 1
79.36, 1.207, 13, 3 3 2

Atomic structure:
```
data_Zr6TlPb
_chemical_formula_sum 'Zr6 Tl1 Pb1'
_cell_length_a 5.663
_cell_length_b 5.663
_cell_length_c 5.663
_cell_angle_alpha 90.00
_cell_angle_beta 90.00
_cell_angle_gamma 90.00
_symmetry_space_group_name_H-M 'P m -3'
_symmetry_Int_Tables_number 200
_symmetry_space_group_name_Hall '-P 2 2 3'
loop_
_atom_site_label
_atom_site_type_symbol
_atom_site_fract_x
_atom_site_fract_y
_atom_site_fract_z
_atom_site_occupancy
Zr1 Zr 0.000 0.251 0.500 1
Tl1 Tl 0.500 0.500 0.500 1
Pb1 Pb 0.000 0.000 0.000 1
```

***

Entry 6:
# Tm5Pb4
Computed powder diffraction line list, Cu Kα (weighted mean of Kα1 and Kα2). Input: DFT lattice parameters and positions (PBE).
Peak positions follow from Bragg's law for the DFT cell and can differ from measured ones.

Principal peaks in the range 2θ = 10–90°, sorted by position:
2θ (°), d [Å], Rel. int., index
27.17, 3.282, 17, 2 2 1
30.13, 2.966, 100, 1 3 2
31.13, 2.873, 26, 2 0 2
32.04, 2.794, 32, 0 4 2
33.02, 2.713, 23, 1 5 1
33.96, 2.640, 55, 2 4 1
34.99, 2.564, 44, 0 6 0
35.35, 2.539, 40, 1 1 3
35.49, 2.529, 25, 3 1 1
46.09, 1.969, 17, 3 5 1

Atomic structure:
```
data_Tm5Pb4
_chemical_formula_sum 'Tm20 Pb16'
_cell_length_a 8.104
_cell_length_b 15.388
_cell_length_c 8.145
_cell_angle_alpha 90.00
_cell_angle_beta 90.00
_cell_angle_gamma 90.00
_symmetry_space_group_name_H-M 'P n m a'
_symmetry_Int_Tables_number 62
loop_
_symmetry_equiv_pos_as_xyz
'x,y,z'
'-x,-y,-z'
'-x+1/2,-y,z+1/2'
'x+1/2,y,-z+1/2'
'x+1/2,-y+1/2,-z+1/2'
'-x+1/2,y+1/2,z+1/2'
'-x,y+1/2,-z'
'x,-y+1/2,z'
loop_
_atom_site_label
_atom_site_type_symbol
_atom_site_fract_x
_atom_site_fract_y
_atom_site_fract_z
_atom_site_occupancy
Tm1 Tm 0.038 0.099 0.176 1
Tm2 Tm 0.124 0.622 0.344 1
Tm3 Tm 0.209 0.250 0.504 1
Pb1 Pb 0.070 0.250 0.876 1
Pb2 Pb 0.150 0.750 0.655 1
Pb3 Pb 0.218 0.043 0.534 1
```